1.
For LiGaAu, DFT lattice parameters and positions (PBE) gives the simulated powder X-ray diffraction pattern in this record (a wavelength of 1.5418 Å).
Neutral-atom scattering factors, no anomalous dispersion.

Most intense lines, 5 to 70 degrees two-theta, by angle:
2θ/deg	I/Imax
21.03	123
21.74	504
28.49	1000
36.43	227
38.54	333
41.40	227
42.55	891
44.31	129
44.68	161
54.07	146

Structural model:
a b c (Å): 4.6717 4.7748 4.7748
angles (deg): 62.20 90.00 90.00
Positions (direct):
Li: 0.2500 0.1874 0.8126
Li: 0.7500 0.8126 0.1874
Ga: 0.2500 0.5210 0.1434
Ga: 0.7500 0.1434 0.5210
Au: 0.2500 0.8582 0.4655
Au: 0.7500 0.4655 0.8582


2.
For LiLuGaAu, DFT lattice parameters and positions (PBE) gives the simulated powder X-ray diffraction pattern in this record (a wavelength of 1.5418 Å).
Neutral-atom scattering factors, no anomalous dispersion.

Most intense lines, 5 to 70 degrees two-theta, by angle:
2θ/deg	I/Imax
22.96	513
26.57	54
37.93	1000
44.80	273
46.91	16
54.72	174
60.11	116
61.84	20
68.52	355

Structural model:
a b c (Å): 4.7442 4.7442 4.7442
angles (deg): 60.00 60.00 60.00
Positions (direct):
Li: 0.0000 0.0000 0.0000
Lu: 0.5000 0.5000 0.5000
Ga: 0.7500 0.7500 0.7500
Au: 0.2500 0.2500 0.2500